No. 1
Starting from a GGA-PBE-relaxed structure, the X-ray powder pattern of TmGa6Cu4 was computed for λ = 1.5418 Å (Cu Kα).
Peak positions follow from Bragg's law for the DFT cell and can differ from measured ones.

Structure:
Lattice parameters (Å, degrees): 7.1548 7.1548 3.9599 90.00 90.00 120.00
Space group P-6m2 (No. 187)
Unique sites:
Tm (0.0000, 0.0000, 0.0000)
Ga (0.1959, 0.3918, 0.5000)
Ga (0.5338, 0.0676, 0.0000)
Cu (0.3333, 0.6667, 0.0000)
Cu (0.4143, 0.2071, 0.5000)

Main lines, in order of rising 2θ (10 to 90 degrees two-theta):
two_theta  intensity
33.77  37.1
36.84  100.0
38.44  43.3
44.97  19.9
45.83  26.9
49.79  22.6
51.06  24.1
58.55  12.7
61.31  21.3
71.02  17.3
76.96  8.6
78.82  10.4

=====

No. 2
Starting from a GGA-PBE-relaxed structure, the X-ray powder pattern of NaVPd was computed for λ = 1.5418 Å (Cu Kα).
Peak positions follow from Bragg's law for the DFT cell and can differ from measured ones.

Structure:
Lattice parameters (Å, degrees): 5.1474 5.1474 22.5245 90.00 90.00 120.00
Space group R3 (No. 146, hexagonal axes)
Unique sites:
Na (0.0159, 0.6760, 0.0000)
V (0.9997, 0.4686, 0.5332)
Pd (0.0000, 0.0000, 0.1066)
Pd (0.0000, 0.0000, 0.5681)
Pd (0.0000, 0.0000, 0.7728)

Main lines, in order of rising 2θ (10 to 90 degrees two-theta):
two_theta  intensity
11.79  100.0
21.44  51.5
25.48  58.3
28.16  34.1
34.86  40.2
35.88  40.6
36.92  46.3
41.29  28.0
42.59  87.4
43.68  38.3
45.40  32.8
50.89  31.2

=====

No. 3
Starting from a GGA-PBE-relaxed structure, the X-ray powder pattern of Cs4Cu3AgF12 was computed for λ = 1.5418 Å (Cu Kα).
Peak positions follow from Bragg's law for the DFT cell and can differ from measured ones.

Structure:
Lattice parameters (Å, degrees): 8.667 8.667 8.667 90.00 90.00 90.00
Space group Im-3m (No. 229)
Unique sites:
Cs (0.250, 0.250, 0.250)
Cu (0.000, 0.000, 0.500)
Ag (0.000, 0.000, 0.000)
F (0.000, 0.000, 0.278)
F (0.000, 0.250, 0.500)

Main lines, in order of rising 2θ (10 to 90 degrees two-theta):
two_theta  intensity
20.49  2.5
29.14  100.0
35.89  11.8
38.88  1.1
41.68  35.8
46.88  1.6
51.67  39.1
60.42  21.7
68.46  17.9
72.31  3.6
76.08  6.9
83.46  20.6

=====

No. 4
Starting from a GGA-PBE-relaxed structure, the X-ray powder pattern of Li4AgMo was computed for λ = 1.5418 Å (Cu Kα).
Peak positions follow from Bragg's law for the DFT cell and can differ from measured ones.

Structure:
Lattice parameters (Å, degrees): 7.136 7.136 7.136 90.00 90.00 90.00
Space group F-43m (No. 216)
Unique sites:
Li (0.125, 0.125, 0.125)
Ag (0.000, 0.000, 0.500)
Mo (0.250, 0.250, 0.750)

Main lines, in order of rising 2θ (10 to 90 degrees two-theta):
two_theta  intensity
21.57  100.0
24.96  0.6
35.58  95.1
41.99  67.7
51.21  13.0
56.19  20.9
63.91  32.2
68.30  20.2
75.34  12.0
79.45  15.1
86.20  14.4

=====

No. 5
Starting from a GGA-PBE-relaxed structure, the X-ray powder pattern of ZrSbAsBr2 was computed for λ = 1.5418 Å (Cu Kα).
Peak positions follow from Bragg's law for the DFT cell and can differ from measured ones.

Structure:
Lattice parameters (Å, degrees): 5.193 5.193 5.577 90.00 90.00 90.00
Space group P4/mmm (No. 123)
Unique sites:
Zr (0.000, 0.000, 0.000)
Sb (0.500, 0.500, 0.500)
As (0.000, 0.000, 0.500)
Br (0.000, 0.500, 0.000)

Main lines, in order of rising 2θ (10 to 90 degrees two-theta):
two_theta  intensity
23.41  45.0
24.24  17.7
29.12  100.0
32.10  55.3
34.55  90.6
42.15  18.5
47.87  70.7
49.66  31.7
55.40  15.9
58.60  26.8
60.37  34.8
77.75  19.5

=====

No. 6
Starting from a GGA-PBE-relaxed structure, the X-ray powder pattern of Tm3AgOs was computed for λ = 1.5418 Å (Cu Kα).
Peak positions follow from Bragg's law for the DFT cell and can differ from measured ones.

Structure:
Lattice parameters (Å, degrees): 6.344 9.599 15.595 90.00 90.00 90.00
Space group Fmmm (No. 69)
Unique sites:
Tm (0.000, 0.000, 0.196)
Tm (0.000, 0.184, 0.391)
Ag (0.211, 0.000, 0.000)
Os (0.250, 0.250, 0.250)

Main lines, in order of rising 2θ (10 to 90 degrees two-theta):
two_theta  intensity
11.35  24.7
31.85  52.4
33.34  45.0
35.84  100.0
36.52  52.3
37.48  15.0
39.42  34.0
41.23  26.8
44.31  15.8
54.96  13.8
58.16  12.5
58.28  19.8

=====

No. 7
Starting from a GGA-PBE-relaxed structure, the X-ray powder pattern of K3In2As3 was computed for λ = 1.5418 Å (Cu Kα).
Peak positions follow from Bragg's law for the DFT cell and can differ from measured ones.

Structure:
Lattice parameters (Å, degrees): 20.072 6.875 15.004 90.00 90.00 90.00
Space group Cmce (No. 64)
Unique sites:
K (0.000, 0.151, 0.139)
K (0.157, 0.230, 0.824)
In (0.083, 0.000, 0.500)
In (0.239, 0.000, 0.000)
As (0.000, 0.162, 0.380)
As (0.174, 0.225, 0.598)

Main lines, in order of rising 2θ (10 to 90 degrees two-theta):
two_theta  intensity
11.80  100.0
14.85  58.3
22.00  21.7
26.39  15.1
28.56  25.8
29.23  22.3
30.25  30.1
31.40  16.2
35.42  47.0
35.97  64.5
37.51  54.0
39.46  20.6

=====

No. 8
Starting from a GGA-PBE-relaxed structure, the X-ray powder pattern of MnNi3N3 was computed for λ = 1.5418 Å (Cu Kα).
Peak positions follow from Bragg's law for the DFT cell and can differ from measured ones.

Structure:
Lattice parameters (Å, degrees): 7.6145 7.6145 3.2758 90.00 90.00 120.00
Space group P6_3/m (No. 176)
Unique sites:
Mn (0.3333, 0.6667, 0.2500)
Ni (0.1202, 0.7617, 0.7500)
N (0.1561, 0.4054, 0.2500)

Main lines, in order of rising 2θ (10 to 90 degrees two-theta):
two_theta  intensity
13.43  12.7
27.04  69.1
36.03  27.8
36.17  49.4
38.75  100.0
47.78  24.3
49.86  19.0
56.16  16.1
57.73  23.5
68.29  14.0
71.63  15.1
81.27  12.5

=====

No. 9
Starting from a GGA-PBE-relaxed structure, the X-ray powder pattern of SmUSeN2 was computed for λ = 1.5418 Å (Cu Kα).
Peak positions follow from Bragg's law for the DFT cell and can differ from measured ones.

Structure:
Lattice parameters (Å, degrees): 3.858 3.858 12.373 90.00 90.00 90.00
Space group I4mm (No. 107)
Unique sites:
Sm (0.000, 0.000, 0.000)
U (0.000, 0.000, 0.313)
Se (0.000, 0.000, 0.655)
N (0.000, 0.500, 0.391)

Main lines, in order of rising 2θ (10 to 90 degrees two-theta):
two_theta  intensity
14.32  11.5
24.16  19.9
31.76  100.0
32.83  41.6
43.90  8.5
44.27  9.3
47.11  19.3
55.89  20.4
57.94  36.8
66.35  10.4
77.79  8.0
78.38  7.5

=====

No. 10
Starting from a GGA-PBE-relaxed structure, the X-ray powder pattern of ZnH5CSBr3 was computed for λ = 1.5418 Å (Cu Kα).
Peak positions follow from Bragg's law for the DFT cell and can differ from measured ones.

Structure:
Lattice parameters (Å, degrees): 7.333 8.415 15.871 86.49 80.59 82.64
Space group P1 (No. 1)
Unique sites:
Zn (0.000, 0.000, 0.000)
Zn (0.092, 0.753, 0.482)
Zn (0.492, 0.220, 0.942)
Zn (0.601, 0.617, 0.515)
H (0.059, 0.223, 0.609)
H (0.105, 0.147, 0.786)
H (0.171, 0.658, 0.294)
H (0.240, 0.069, 0.635)
H (0.253, 0.585, 0.113)
H (0.298, 0.262, 0.589)
H (0.349, 0.233, 0.755)
H (0.389, 0.484, 0.190)
H (0.408, 0.748, 0.271)
H (0.483, 0.635, 0.116)
H (0.522, 0.168, 0.265)
H (0.526, 0.617, 0.918)
H (0.643, 0.924, 0.378)
H (0.661, 0.743, 0.757)
H (0.713, 0.277, 0.275)
H (0.721, 0.531, 0.780)
H (0.758, 0.075, 0.237)
H (0.793, 0.568, 0.935)
H (0.848, 0.059, 0.392)
H (0.895, 0.670, 0.770)
C (0.194, 0.198, 0.631)
C (0.357, 0.596, 0.154)
C (0.665, 0.158, 0.279)
C (0.749, 0.653, 0.790)
S (0.168, 0.281, 0.736)
S (0.260, 0.755, 0.226)
S (0.655, 0.086, 0.390)
S (0.691, 0.697, 0.902)
Br (0.088, 0.920, 0.855)
Br (0.124, 0.510, 0.406)
Br (0.149, 0.993, 0.393)
Br (0.287, 0.715, 0.596)
Br (0.296, 0.063, 0.048)
Br (0.308, 0.481, 0.929)
Br (0.596, 0.118, 0.801)
Br (0.630, 0.669, 0.360)
Br (0.687, 0.355, 0.568)
Br (0.775, 0.260, 0.005)
Br (0.775, 0.825, 0.562)
Br (0.866, 0.816, 0.104)

Main lines, in order of rising 2θ (10 to 90 degrees two-theta):
two_theta  intensity
10.61  18.1
11.31  100.0
11.82  71.5
12.23  29.6
19.70  23.9
24.57  21.9
24.71  38.2
25.97  25.9
26.38  42.0
27.25  42.6
27.95  30.2
47.34  19.8